This entry pairs a crystal structure of Ca2Co9O13 with its theoretical powder XRD pattern. Radiation: λ = 1.5418 Å (Cu Kα). Structure: a DFT-relaxed cell (GGA+U, Alexandria).
Neutral-atom scattering factors, no anomalous dispersion.

```
data_Ca2Co9O13
_space_group_name_H-M_alt 'C 1 2/m 1'
_space_group_IT_number 12
_cell_length_a 9.880
_cell_length_b 2.986
_cell_length_c 16.255
_cell_angle_alpha 90.00
_cell_angle_beta 99.84
_cell_angle_gamma 90.00
loop_
_space_group_symop_operation_xyz
'x,y,z'
'-x,-y,-z'
'-x,y,-z'
'x,-y,z'
'x+1/2,y+1/2,z'
'-x+1/2,-y+1/2,-z'
'-x+1/2,y+1/2,-z'
'x+1/2,-y+1/2,z'
loop_
_atom_site_label
_atom_site_type_symbol
_atom_site_fract_x
_atom_site_fract_y
_atom_site_fract_z
_atom_site_occupancy
Ca1 Ca 0.226 0.000 0.230 1
Co1 Co 0.000 0.500 0.500 1
Co2 Co 0.006 0.000 0.337 1
Co3 Co 0.053 0.000 0.878 1
Co4 Co 0.151 0.500 0.039 1
Co5 Co 0.243 0.000 0.580 1
O1 O 0.000 0.000 0.000 1
O2 O 0.073 0.500 0.143 1
O3 O 0.102 0.000 0.771 1
O4 O 0.110 0.500 0.625 1
O5 O 0.121 0.500 0.316 1
O6 O 0.123 0.000 0.458 1
O7 O 0.189 0.500 0.917 1
```

Principal peaks in the range 2θ from 10° to 80°, low angle first:
(0 0 2), 11.05 deg, d 8.008, I = 72.4
(2 0 -6), 35.48 deg, d 2.530, I = 96.3
(2 0 5), 36.11 deg, d 2.488, I = 79.8
(4 0 -1), 36.40 deg, d 2.468, I = 88.1
(2 0 6), 41.30 deg, d 2.186, I = 79.4
(3 1 1), 42.15 deg, d 2.144, I = 62.0
(3 1 -3), 42.64 deg, d 2.120, I = 100.0
(3 1 2), 43.97 deg, d 2.059, I = 54.7
(3 1 -4), 44.69 deg, d 2.028, I = 42.5
(0 2 0), 62.17 deg, d 1.493, I = 48.8